[1]
Computed powder X-ray diffraction pattern of Tm3Lu4Ni2S2 for Cu Kα, from a cell relaxed with PBE.
Lines closer than 0.1° are merged.

Atomic structure:
a b c (Å): 8.736 8.736 8.736
angles (deg): 155.60 67.77 117.87
Atoms (fractional coordinates):
Tm 0.000 0.000 0.000
Tm 0.282 0.403 0.880
Tm 0.523 0.403 0.120
Lu 0.296 0.610 0.686
Lu 0.615 0.249 0.366
Lu 0.884 0.249 0.634
Lu 0.924 0.610 0.314
Ni 0.150 0.911 0.239
Ni 0.672 0.911 0.761
S 0.246 0.746 0.500
S 0.653 0.653 0.000

Top 6 peaks for 2θ from 5° to 70°, by intensity:
2θ = 36.1°, I = 100
2θ = 31.9°, I = 69
2θ = 30.4°, I = 68
2θ = 35.2°, I = 54
2θ = 36.5°, I = 48
2θ = 32.4°, I = 43

[2]
Computed powder X-ray diffraction pattern of Tm4Lu3Ni2S2 for Cu Kα, from a cell relaxed with PBE.
Lines closer than 0.1° are merged.

Atomic structure:
a b c (Å): 8.747 8.747 8.747
angles (deg): 155.64 67.89 117.74
Atoms (fractional coordinates):
Tm 0.121 0.000 0.121
Tm 0.214 0.848 0.366
Tm 0.482 0.848 0.634
Tm 0.879 0.000 0.879
Lu 0.522 0.208 0.314
Lu 0.600 0.600 0.000
Lu 0.894 0.208 0.686
Ni 0.270 0.510 0.761
Ni 0.749 0.510 0.239
S 0.248 0.248 0.000
S 0.844 0.344 0.500

Top 6 peaks for 2θ from 5° to 70°, by intensity:
2θ = 36.1°, I = 100
2θ = 31.9°, I = 68
2θ = 35.1°, I = 54
2θ = 36.5°, I = 48
2θ = 32.4°, I = 44
2θ = 30.3°, I = 37

[3]
Computed powder X-ray diffraction pattern of Lu2NiSb for Cu Kα, from a cell relaxed with PBE.
Lines closer than 0.1° are merged.

Atomic structure:
a b c (Å): 4.988 4.988 4.988
angles (deg): 60.00 60.00 60.00
Atoms (fractional coordinates):
Lu 0.000 0.000 0.000
Lu 0.250 0.250 0.250
Ni 0.750 0.750 0.750
Sb 0.500 0.500 0.500

Top 6 peaks for 2θ from 5° to 70°, by intensity:
2θ = 36.0°, I = 100
2θ = 64.7°, I = 36
2θ = 51.8°, I = 18
2θ = 21.8°, I = 12
2θ = 42.5°, I = 7
2θ = 56.9°, I = 3

[4]
Computed powder X-ray diffraction pattern of YTm4Lu2Ni2Se2 for Cu Kα, from a cell relaxed with PBE.
Lines closer than 0.1° are merged.

Atomic structure:
a b c (Å): 8.948 8.948 8.948
angles (deg): 155.72 67.35 118.27
Atoms (fractional coordinates):
Y 0.000 0.000 0.000
Tm 0.286 0.412 0.874
Tm 0.538 0.412 0.126
Tm 0.617 0.259 0.358
Tm 0.900 0.259 0.642
Lu 0.302 0.618 0.685
Lu 0.933 0.618 0.315
Ni 0.163 0.924 0.239
Ni 0.685 0.924 0.761
Se 0.258 0.758 0.500
Se 0.660 0.660 0.000

Top 6 peaks for 2θ from 5° to 70°, by intensity:
2θ = 35.3°, I = 100
2θ = 34.4°, I = 70
2θ = 35.8°, I = 62
2θ = 31.3°, I = 53
2θ = 29.8°, I = 47
2θ = 48.4°, I = 29

[5]
Computed powder X-ray diffraction pattern of YLu6Ni2Se2 for Cu Kα, from a cell relaxed with PBE.
Lines closer than 0.1° are merged.

Atomic structure:
a b c (Å): 8.904 8.904 8.904
angles (deg): 155.63 67.48 118.17
Atoms (fractional coordinates):
Y 0.000 0.000 0.000
Lu 0.285 0.411 0.874
Lu 0.303 0.617 0.686
Lu 0.538 0.411 0.126
Lu 0.617 0.258 0.359
Lu 0.899 0.258 0.641
Lu 0.932 0.617 0.314
Ni 0.161 0.922 0.240
Ni 0.682 0.922 0.760
Se 0.260 0.760 0.500
Se 0.657 0.657 0.000

Top 6 peaks for 2θ from 5° to 70°, by intensity:
2θ = 35.4°, I = 100
2θ = 34.6°, I = 69
2θ = 35.9°, I = 61
2θ = 31.4°, I = 52
2θ = 29.9°, I = 46
2θ = 48.4°, I = 29

[6]
Computed powder X-ray diffraction pattern of LuNi5Sn for Cu Kα, from a cell relaxed with PBE.
Lines closer than 0.1° are merged.

Atomic structure:
a b c (Å): 7.969 4.818 10.195
angles (deg): 90.00 90.00 90.00
Atoms (fractional coordinates):
Lu 0.246 0.250 0.061
Lu 0.254 0.750 0.561
Lu 0.746 0.250 0.439
Lu 0.754 0.750 0.939
Ni 0.048 0.250 0.598
Ni 0.066 0.501 0.810
Ni 0.066 0.999 0.810
Ni 0.086 0.750 0.018
Ni 0.189 0.750 0.243
Ni 0.311 0.250 0.743
Ni 0.414 0.250 0.518
Ni 0.434 0.001 0.310
Ni 0.434 0.499 0.310
Ni 0.452 0.750 0.098
Ni 0.548 0.250 0.902
Ni 0.566 0.501 0.690
Ni 0.566 0.999 0.690
Ni 0.586 0.750 0.482
Ni 0.689 0.750 0.257
Ni 0.811 0.250 0.757
Ni 0.914 0.250 0.982
Ni 0.934 0.001 0.190
Ni 0.934 0.499 0.190
Ni 0.952 0.750 0.402
Sn 0.140 0.250 0.360
Sn 0.360 0.750 0.860
Sn 0.640 0.250 0.140
Sn 0.860 0.750 0.640

Top 6 peaks for 2θ from 5° to 70°, by intensity:
2θ = 39.7°, I = 100
2θ = 39.6°, I = 84
2θ = 37.0°, I = 50
2θ = 37.3°, I = 42
2θ = 46.3°, I = 39
2θ = 47.7°, I = 38

[7]
Computed powder X-ray diffraction pattern of LuNiSn2 for Cu Kα, from a cell relaxed with PBE.
Lines closer than 0.1° are merged.

Atomic structure:
a b c (Å): 16.064 4.396 14.453
angles (deg): 90.00 90.00 90.00
Atoms (fractional coordinates):
Lu 0.126 0.250 0.225
Lu 0.147 0.750 0.602
Lu 0.152 0.250 0.973
Lu 0.348 0.750 0.473
Lu 0.353 0.250 0.102
Lu 0.374 0.750 0.725
Lu 0.626 0.250 0.275
Lu 0.647 0.750 0.898
Lu 0.652 0.250 0.527
Lu 0.848 0.750 0.027
Lu 0.853 0.250 0.398
Lu 0.874 0.750 0.775
Ni 0.053 0.750 0.108
Ni 0.192 0.250 0.744
Ni 0.200 0.250 0.455
Ni 0.300 0.750 0.955
Ni 0.308 0.750 0.244
Ni 0.447 0.250 0.608
Ni 0.553 0.750 0.392
Ni 0.692 0.250 0.756
Ni 0.700 0.250 0.045
Ni 0.800 0.750 0.545
Ni 0.808 0.750 0.256
Ni 0.947 0.250 0.892
Sn 0.021 0.750 0.922
Sn 0.030 0.250 0.734
Sn 0.042 0.250 0.447
Sn 0.175 0.750 0.368
Sn 0.184 0.750 0.823
Sn 0.215 0.750 0.105
Sn 0.285 0.250 0.605
Sn 0.316 0.250 0.323
Sn 0.325 0.250 0.868
Sn 0.458 0.750 0.947
Sn 0.470 0.750 0.234
Sn 0.479 0.250 0.422
Sn 0.521 0.750 0.578
Sn 0.530 0.250 0.766
Sn 0.542 0.250 0.053
Sn 0.675 0.750 0.132
Sn 0.684 0.750 0.677
Sn 0.715 0.750 0.395
Sn 0.785 0.250 0.895
Sn 0.816 0.250 0.177
Sn 0.825 0.250 0.632
Sn 0.958 0.750 0.553
Sn 0.970 0.750 0.266
Sn 0.979 0.250 0.078

Top 6 peaks for 2θ from 5° to 70°, by intensity:
2θ = 34.0°, I = 100
2θ = 35.1°, I = 67
2θ = 41.1°, I = 57
2θ = 38.5°, I = 34
2θ = 36.3°, I = 32
2θ = 32.6°, I = 31

[8]
Computed powder X-ray diffraction pattern of LuTc2Ni for Cu Kα, from a cell relaxed with PBE.
Lines closer than 0.1° are merged.

Atomic structure:
a b c (Å): 4.455 4.455 4.455
angles (deg): 60.00 60.00 60.00
Atoms (fractional coordinates):
Lu 0.000 0.000 0.000
Tc 0.500 0.500 0.500
Tc 0.750 0.750 0.750
Ni 0.250 0.250 0.250

Top 6 peaks for 2θ from 5° to 70°, by intensity:
2θ = 40.5°, I = 100
2θ = 58.6°, I = 17
2θ = 24.5°, I = 8
2θ = 28.3°, I = 8
2θ = 47.9°, I = 4
2θ = 66.4°, I = 3